Entry 1:
# NdCd4
Theoretical X-ray powder pattern, λ = 1.5418 Å (Cu Kα). Input: a GGA-PBE-relaxed structure.
No peak broadening, texture or thermal motion is included.

Crystal structure
abc: 8.5662 8.5662 8.5662
angles: 146.75 133.17 58.64
Element x y z (fractional)
Nd  0.3582  0.1082  0.2500
Nd  0.6418  0.8918  0.7500
Cd  0.0000  0.5000  0.5000
Cd  0.1362  0.8862  0.2500
Cd  0.1941  0.6973  0.4968
Cd  0.2995  0.3027  0.9968
Cd  0.5000  0.5000  0.0000
Cd  0.7005  0.6973  0.0032
Cd  0.8059  0.3027  0.5032
Cd  0.8638  0.1138  0.7500

Peak list (8 most intense, 2θ from 10° to 80°, low angle first)
| d (Å) | 2θ (°) | Rel. int. |
| --- | --- | --- |
| 2.748 | 32.6 | 100.0 |
| 2.551 | 35.2 | 92.9 |
| 2.516 | 35.7 | 44.0 |
| 2.451 | 36.7 | 43.7 |
| 2.438 | 36.9 | 19.9 |
| 2.010 | 45.1 | 15.3 |
| 1.756 | 52.1 | 29.1 |
| 1.416 | 66.0 | 28.0 |

Entry 2:
# Nd3Cd4
Theoretical X-ray powder pattern, λ = 1.5418 Å (Cu Kα). Input: a GGA-PBE-relaxed structure.
No peak broadening, texture or thermal motion is included.

Crystal structure
abc: 3.5299 5.0454 21.5868
angles: 90.00 90.00 90.00
Element x y z (fractional)
Nd  0.0000  0.0000  0.0000
Nd  0.0000  0.5000  0.1990
Nd  0.0000  0.5000  0.8010
Nd  0.5000  0.0000  0.3010
Nd  0.5000  0.0000  0.6990
Nd  0.5000  0.5000  0.5000
Cd  0.0000  0.0000  0.4327
Cd  0.0000  0.0000  0.5673
Cd  0.0000  0.5000  0.3587
Cd  0.0000  0.5000  0.6414
Cd  0.5000  0.0000  0.1414
Cd  0.5000  0.0000  0.8586
Cd  0.5000  0.5000  0.0673
Cd  0.5000  0.5000  0.9327

Peak list (8 most intense, 2θ from 10° to 80°, low angle first)
| d (Å) | 2θ (°) | Rel. int. |
| --- | --- | --- |
| 2.794 | 32.0 | 100.0 |
| 2.733 | 32.8 | 53.5 |
| 2.631 | 34.1 | 87.4 |
| 2.523 | 35.6 | 45.4 |
| 1.854 | 49.2 | 34.0 |
| 1.503 | 61.7 | 18.1 |
| 1.466 | 63.5 | 27.8 |
| 1.446 | 64.4 | 15.5 |

Entry 3:
# Nd7Cd3
Theoretical X-ray powder pattern, λ = 1.5418 Å (Cu Kα). Input: a GGA-PBE-relaxed structure.
No peak broadening, texture or thermal motion is included.

Crystal structure
abc: 10.4191 10.4191 6.8777
angles: 90.00 90.00 120.00
Element x y z (fractional)
Nd  0.0625  0.5312  0.0000
Nd  0.1236  0.2471  0.2499
Nd  0.1236  0.8764  0.2499
Nd  0.2471  0.1236  0.7499
Nd  0.3333  0.6667  0.3720
Nd  0.4688  0.5312  0.0000
Nd  0.4688  0.9375  0.0000
Nd  0.5312  0.0625  0.5000
Nd  0.5312  0.4688  0.5000
Nd  0.6667  0.3333  0.8720
Nd  0.7529  0.8764  0.2499
Nd  0.8764  0.1236  0.7499
Nd  0.8764  0.7529  0.7499
Nd  0.9375  0.4688  0.5000
Cd  0.2048  0.4097  0.6932
Cd  0.2048  0.7952  0.6932
Cd  0.4097  0.2048  0.1932
Cd  0.5903  0.7952  0.6932
Cd  0.7952  0.2048  0.1932
Cd  0.7952  0.5903  0.1932

Peak list (8 most intense, 2θ from 10° to 80°, low angle first)
| d (Å) | 2θ (°) | Rel. int. |
| --- | --- | --- |
| 3.213 | 27.8 | 32.9 |
| 3.055 | 29.2 | 87.0 |
| 3.008 | 29.7 | 20.2 |
| 2.756 | 32.5 | 100.0 |
| 2.735 | 32.7 | 73.6 |
| 2.605 | 34.4 | 37.8 |
| 1.737 | 52.7 | 22.2 |
| 1.536 | 60.2 | 31.9 |

Entry 4:
# Nd6Cd5
Theoretical X-ray powder pattern, λ = 1.5418 Å (Cu Kα). Input: a GGA-PBE-relaxed structure.
No peak broadening, texture or thermal motion is included.

Crystal structure
abc: 8.4225 8.4225 7.8129
angles: 90.00 90.00 142.97
Element x y z (fractional)
Nd  0.0000  0.0000  0.2436
Nd  0.0000  0.0000  0.7564
Nd  0.3387  0.6613  0.2462
Nd  0.3387  0.6613  0.7538
Nd  0.6613  0.3387  0.2462
Nd  0.6613  0.3387  0.7538
Cd  0.1694  0.8306  0.5000
Cd  0.1730  0.8270  0.0000
Cd  0.5000  0.5000  0.5000
Cd  0.8270  0.1730  0.0000
Cd  0.8306  0.1694  0.5000

Peak list (8 most intense, 2θ from 10° to 80°, low angle first)
| d (Å) | 2θ (°) | Rel. int. |
| --- | --- | --- |
| 2.714 | 33.0 | 100.0 |
| 2.675 | 33.5 | 24.2 |
| 2.662 | 33.7 | 23.3 |
| 1.953 | 46.5 | 9.5 |
| 1.887 | 48.2 | 17.0 |
| 1.552 | 59.6 | 17.9 |
| 1.547 | 59.8 | 16.8 |
| 1.357 | 69.2 | 11.2 |

Entry 5:
# Nd2Cd13
Theoretical X-ray powder pattern, λ = 1.5418 Å (Cu Kα). Input: a GGA-PBE-relaxed structure.
No peak broadening, texture or thermal motion is included.

Crystal structure
abc: 8.4510 8.4510 8.4510
angles: 55.83 55.83 55.83
Element x y z (fractional)
Nd  0.1574  0.1574  0.1574
Nd  0.8426  0.8426  0.8426
Cd  0.0000  0.0000  0.0000
Cd  0.1533  0.1533  0.5441
Cd  0.1533  0.5441  0.1533
Cd  0.3122  0.3122  0.6762
Cd  0.3122  0.6762  0.3122
Cd  0.3238  0.6878  0.6878
Cd  0.4559  0.8467  0.8467
Cd  0.5441  0.1533  0.1533
Cd  0.6762  0.3122  0.3122
Cd  0.6878  0.3238  0.6878
Cd  0.6878  0.6878  0.3238
Cd  0.8467  0.4559  0.8467
Cd  0.8467  0.8467  0.4559

Peak list (8 most intense, 2θ from 10° to 80°, low angle first)
| d (Å) | 2θ (°) | Rel. int. |
| --- | --- | --- |
| 2.784 | 32.1 | 62.6 |
| 2.671 | 33.5 | 49.0 |
| 2.644 | 33.9 | 25.8 |
| 2.571 | 34.9 | 100.0 |
| 2.104 | 43.0 | 23.1 |
| 1.978 | 45.9 | 18.6 |
| 1.922 | 47.3 | 53.5 |
| 1.397 | 67.0 | 29.8 |